# Ac5Ag2
Computed XRD peak list, Cu Kα (λ = 1.5418 Å). Input: a crystal structure in Alexandria, relaxed with PBE.
Intensities are scaled so that the largest is 100.

Peak list (12 most intense, 10° ≤ 2θ ≤ 90°, by intensity)
d [Å]	I (rel.)
3.341	100
3.196	62
3.306	58
3.164	55
1.873	54
3.073	47
2.768	36
2.855	32
2.475	31
2.967	29
2.007	27
3.460	27

Structure:
Unit cell a=10.1402 b=10.1402 c=7.8954 alpha=96.14 beta=96.14 gamma=42.14
Element x y z (fractional)
1 Ac 0.0825 0.9175 0.7500
2 Ac 0.1361 0.3050 0.2990
3 Ac 0.3044 0.5066 0.0680
4 Ac 0.3050 0.1361 0.7990
5 Ac 0.4934 0.6956 0.4320
6 Ac 0.5066 0.3044 0.5680
7 Ac 0.6950 0.8639 0.2010
8 Ac 0.6956 0.4934 0.9320
9 Ac 0.8639 0.6950 0.7010
10 Ac 0.9175 0.0825 0.2500
11 Ag 0.0738 0.7064 0.4231
12 Ag 0.2936 0.9262 0.0769
13 Ag 0.7064 0.0738 0.9231
14 Ag 0.9262 0.2936 0.5769